(1)
The following is a computed X-ray powder pattern of Cd2MoAu. It was derived from the GGA-PBE geometry in Alexandria, using copper Kα.

Largest 10 diffraction maxima, sorted by position, 10° ≤ 2θ ≤ 90°:
2θ 19.35, intensity 12; 2θ 34.92, intensity 37; 2θ 35.33, intensity 35; 2θ 40.01, intensity 100; 2θ 50.52, intensity 25; 2θ 66.06, intensity 22; 2θ 66.57, intensity 21; 2θ 75.66, intensity 8; 2θ 86.36, intensity 11; 2θ 87.85, intensity 11

a b c (Å): 2.882 5.139 10.163
angles (deg): 90.00 90.00 90.00
Space group Immm (No. 71)
Asymmetric unit:
Cd 0.000 0.000 0.246 (multiplicity 4)
Mo 0.000 0.500 0.000 (multiplicity 2)
Au 0.000 0.500 0.500 (multiplicity 2)


(2)
The following is a computed X-ray powder pattern of CdMo2Au. It was derived from the GGA-PBE geometry in Alexandria, using copper Kα.

Largest 10 diffraction maxima, sorted by position, 10° ≤ 2θ ≤ 90°:
2θ 38.34, intensity 24; 2θ 38.94, intensity 100; 2θ 39.33, intensity 25; 2θ 56.10, intensity 16; 2θ 56.38, intensity 9; 2θ 69.73, intensity 15; 2θ 70.24, intensity 9; 2θ 70.91, intensity 9; 2θ 71.05, intensity 17; 2θ 83.59, intensity 12

a b c (Å): 3.264 4.581 9.390
angles (deg): 90.00 90.00 90.00
Space group Cmm2 (No. 35)
Asymmetric unit:
Cd 0.000 0.000 0.000 (multiplicity 2)
Mo 0.000 0.000 0.517 (multiplicity 2)
Mo 0.000 0.500 0.737 (multiplicity 2)
Au 0.000 0.500 0.265 (multiplicity 2)


(3)
The following is a computed X-ray powder pattern of Cd3AuN. It was derived from the GGA-PBE geometry in Alexandria, using copper Kα.

Largest 10 diffraction maxima, sorted by position, 10° ≤ 2θ ≤ 90°:
2θ 12.44, intensity 41; 2θ 20.00, intensity 55; 2θ 30.04, intensity 31; 2θ 34.46, intensity 100; 2θ 36.24, intensity 31; 2θ 36.86, intensity 25; 2θ 37.12, intensity 35; 2θ 37.47, intensity 44; 2θ 38.55, intensity 32; 2θ 40.54, intensity 29

a b c (Å): 5.352 5.716 7.571
angles (deg): 70.49 77.83 64.45
Space group P1 (No. 1)
Asymmetric unit:
Cd 0.000 0.000 0.000 (multiplicity 1)
Cd 0.084 0.986 0.509 (multiplicity 1)
Cd 0.329 0.423 0.991 (multiplicity 1)
Cd 0.458 0.196 0.673 (multiplicity 1)
Cd 0.659 0.608 0.181 (multiplicity 1)
Cd 0.749 0.590 0.675 (multiplicity 1)
Au 0.142 0.550 0.354 (multiplicity 1)
Au 0.615 0.042 0.321 (multiplicity 1)
N 0.305 0.849 0.770 (multiplicity 1)
N 0.926 0.423 0.954 (multiplicity 1)


(4)
The following is a computed X-ray powder pattern of Na8CdAu2. It was derived from the GGA-PBE geometry in Alexandria, using copper Kα.

Largest 10 diffraction maxima, sorted by position, 10° ≤ 2θ ≤ 90°:
2θ 19.46, intensity 62; 2θ 20.55, intensity 55; 2θ 21.43, intensity 100; 2θ 23.32, intensity 36; 2θ 24.31, intensity 72; 2θ 32.83, intensity 39; 2θ 33.26, intensity 66; 2θ 34.60, intensity 47; 2θ 36.37, intensity 33; 2θ 39.91, intensity 43

a b c (Å): 17.686 4.940 7.640
angles (deg): 90.00 112.27 90.00
Space group C2/m (No. 12)
Asymmetric unit:
Na 0.031 0.000 0.258 (multiplicity 4)
Na 0.104 0.500 0.962 (multiplicity 4)
Na 0.174 0.500 0.438 (multiplicity 4)
Na 0.190 0.000 0.785 (multiplicity 4)
Cd 0.000 0.500 0.500 (multiplicity 2)
Au 0.186 0.000 0.183 (multiplicity 4)


(5)
The following is a computed X-ray powder pattern of Na4CdAu. It was derived from the GGA-PBE geometry in Alexandria, using copper Kα.

Largest 10 diffraction maxima, sorted by position, 10° ≤ 2θ ≤ 90°:
2θ 21.29, intensity 100; 2θ 23.46, intensity 9; 2θ 25.19, intensity 15; 2θ 34.69, intensity 50; 2θ 35.93, intensity 23; 2θ 39.97, intensity 20; 2θ 42.14, intensity 35; 2θ 54.82, intensity 16; 2θ 61.38, intensity 9; 2θ 63.78, intensity 16

a b c (Å): 7.583 7.071 7.070
angles (deg): 90.00 90.00 90.00
Space group Amm2 (No. 38)
Asymmetric unit:
Na 0.228 0.250 0.000 (multiplicity 8)
Cd 0.500 0.000 0.249 (multiplicity 2)
Au 0.000 0.000 0.750 (multiplicity 2)


(6)
The following is a computed X-ray powder pattern of Na7CdAu2. It was derived from the GGA-PBE geometry in Alexandria, using copper Kα.

Largest 10 diffraction maxima, sorted by position, 10° ≤ 2θ ≤ 90°:
2θ 20.93, intensity 34; 2θ 21.18, intensity 100; 2θ 24.44, intensity 47; 2θ 34.67, intensity 55; 2θ 34.99, intensity 56; 2θ 40.85, intensity 18; 2θ 41.12, intensity 37; 2θ 41.26, intensity 18; 2θ 50.08, intensity 20; 2θ 62.55, intensity 21

a b c (Å): 5.1289 5.1289 12.7330
angles (deg): 90.00 90.00 120.00
Space group P3m1 (No. 156)
Asymmetric unit:
Na 0.0000 0.0000 0.0000 (multiplicity 1)
Na 0.0000 0.0000 0.2540 (multiplicity 1)
Na 0.0000 0.0000 0.5392 (multiplicity 1)
Na 0.3333 0.6667 0.1349 (multiplicity 1)
Na 0.3333 0.6667 0.6981 (multiplicity 1)
Na 0.6667 0.3333 0.3565 (multiplicity 1)
Na 0.6667 0.3333 0.8567 (multiplicity 1)
Cd 0.3333 0.6667 0.4231 (multiplicity 1)
Au 0.0000 0.0000 0.7709 (multiplicity 1)
Au 0.6667 0.3333 0.1108 (multiplicity 1)


(7)
The following is a computed X-ray powder pattern of Na8CdAu3. It was derived from the GGA-PBE geometry in Alexandria, using copper Kα.

Largest 10 diffraction maxima, sorted by position, 10° ≤ 2θ ≤ 90°:
2θ 21.48, intensity 100; 2θ 21.74, intensity 99; 2θ 25.00, intensity 55; 2θ 35.31, intensity 24; 2θ 35.67, intensity 93; 2θ 35.95, intensity 23; 2θ 41.85, intensity 37; 2θ 42.04, intensity 19; 2θ 42.24, intensity 53; 2θ 51.31, intensity 24

a b c (Å): 9.992 10.167 14.228
angles (deg): 90.00 90.00 90.00
Space group Fmmm (No. 69)
Asymmetric unit:
Na 0.000 0.242 0.128 (multiplicity 16)
Na 0.241 0.000 0.131 (multiplicity 16)
Cd 0.000 0.000 0.500 (multiplicity 4)
Au 0.000 0.000 0.000 (multiplicity 4)
Au 0.250 0.250 0.250 (multiplicity 8)


(8)
The following is a computed X-ray powder pattern of Na3Cd3Au2. It was derived from the GGA-PBE geometry in Alexandria, using copper Kα.

Largest 10 diffraction maxima, sorted by position, 10° ≤ 2θ ≤ 90°:
2θ 12.14, intensity 61; 2θ 16.20, intensity 44; 2θ 22.05, intensity 100; 2θ 32.72, intensity 38; 2θ 36.69, intensity 46; 2θ 36.86, intensity 46; 2θ 37.14, intensity 48; 2θ 38.93, intensity 32; 2θ 39.55, intensity 31; 2θ 47.43, intensity 28

a b c (Å): 4.900 5.568 7.810
angles (deg): 99.80 108.21 91.17
Space group P-1 (No. 2)
Asymmetric unit:
Na 0.000 0.000 0.000 (multiplicity 1)
Na 0.162 0.580 0.314 (multiplicity 2)
Cd 0.368 0.838 0.741 (multiplicity 2)
Cd 0.500 0.500 0.000 (multiplicity 1)
Au 0.221 0.105 0.440 (multiplicity 2)


Which formula does entry 7 have? Na8CdAu3